Record 1
This entry pairs a crystal structure of Na5HgCl8 with its theoretical X-ray diffraction stick pattern. Radiation: Cu Kα. Structure: the GGA-PBE geometry in Alexandria.
Neutral-atom scattering factors, no anomalous dispersion.

Cell lengths 11.573, 11.573, 11.573 Å; angles 90.00, 90.00, 90.00 degrees
Space group F-43m (No. 216)
Asymmetric unit:
Na: 0.000 0.000 0.000
Na: 0.128 0.128 0.628
Hg: 0.250 0.250 0.250
Cl: 0.122 0.122 0.378
Cl: 0.133 0.133 0.867

Principal peaks in the range 2θ from 10° to 90°, by intensity:
(hkl), 2theta, d [Å], Rel. int.
3 1 1, 25.5, 3.489, 100
4 4 0, 44.3, 2.046, 71
2 2 0, 21.7, 4.092, 68
1 1 1, 13.3, 6.682, 59
2 0 0, 15.3, 5.786, 51
5 1 1, 40.5, 2.227, 48

Record 2
This entry pairs a crystal structure of NdHoGaHg with its theoretical X-ray diffraction stick pattern. Radiation: Cu Kα. Structure: the GGA-PBE geometry in Alexandria.
Neutral-atom scattering factors, no anomalous dispersion.

Cell lengths 3.651, 3.651, 7.600 Å; angles 90.00, 90.00, 90.00 degrees
Space group P4mm (No. 99)
Asymmetric unit:
Nd: 0.000 0.000 0.000
Ho: 0.000 0.000 0.529
Ga: 0.500 0.500 0.753
Hg: 0.500 0.500 0.287

Principal peaks in the range 2θ from 10° to 90°, by intensity:
(hkl), 2theta, d [Å], Rel. int.
1 0 2, 34.1, 2.633, 100
1 1 0, 34.7, 2.582, 49
2 1 2, 61.8, 1.500, 36
2 0 0, 50.0, 1.825, 18
1 1 4, 60.5, 1.530, 17
1 0 1, 27.1, 3.291, 13

Record 3
This entry pairs a crystal structure of TbGa8Rh2 with its theoretical X-ray diffraction stick pattern. Radiation: Cu Kα. Structure: the GGA-PBE geometry in Alexandria.
Neutral-atom scattering factors, no anomalous dispersion.

Cell lengths 8.496, 10.316, 4.803 Å; angles 90.00, 101.90, 90.00 degrees
Space group C2/m (No. 12)
Asymmetric unit:
Tb: 0.000 0.000 0.000
Ga: 0.000 0.294 0.000
Ga: 0.126 0.500 0.772
Ga: 0.225 0.126 0.612
Rh: 0.000 0.285 0.500

Principal peaks in the range 2θ from 10° to 90°, by intensity:
(hkl), 2theta, d [Å], Rel. int.
2 4 0, 41.2, 2.191, 100
3 1 -1, 35.1, 2.555, 85
3 3 0, 41.9, 2.158, 85
1 3 -1, 32.8, 2.734, 70
2 0 1, 31.5, 2.837, 67
1 3 2, 50.1, 1.822, 62

Record 4
This entry pairs a crystal structure of Pr5ThRu4 with its theoretical X-ray diffraction stick pattern. Radiation: Cu Kα. Structure: the GGA-PBE geometry in Alexandria.
Neutral-atom scattering factors, no anomalous dispersion.

Cell lengths 18.027, 4.018, 7.981 Å; angles 90.00, 90.15, 90.00 degrees
Space group C2/m (No. 12)
Asymmetric unit:
Pr: 0.000 0.000 0.000
Pr: 0.156 0.500 0.263
Pr: 0.157 0.500 0.738
Th: 0.000 0.000 0.500
Ru: 0.000 0.500 0.258
Ru: 0.197 0.000 0.501

Principal peaks in the range 2θ from 10° to 90°, by intensity:
(hkl), 2theta, d [Å], Rel. int.
1 1 -2, 32.0, 2.797, 100
6 0 0, 29.7, 3.005, 47
5 1 2, 40.5, 2.227, 46
0 0 1, 11.1, 7.981, 39
7 1 -2, 47.7, 1.905, 29
3 1 0, 26.7, 3.340, 25

Record 5
This entry pairs a crystal structure of NbTcIrRh with its theoretical X-ray diffraction stick pattern. Radiation: Cu Kα. Structure: the GGA-PBE geometry in Alexandria.
Neutral-atom scattering factors, no anomalous dispersion.

Cell lengths 3.920, 3.922, 3.946 Å; angles 90.00, 90.00, 90.00 degrees
Space group Pmmm (No. 47)
Asymmetric unit:
Nb: 0.000 0.000 0.000
Tc: 0.000 0.500 0.500
Ir: 0.500 0.000 0.500
Rh: 0.500 0.500 0.000

Principal peaks in the range 2θ from 10° to 90°, by intensity:
(hkl), 2theta, d [Å], Rel. int.
1 1 1, 39.7, 2.268, 100
2 0 0, 46.3, 1.960, 32
3 1 1, 81.4, 1.183, 25
2 0 2, 67.3, 1.391, 21
0 0 2, 46.0, 1.973, 16
1 1 3, 80.9, 1.188, 12

Record 6
This entry pairs a crystal structure of Na2H4Rh with its theoretical X-ray diffraction stick pattern. Radiation: Cu Kα. Structure: the GGA-PBE geometry in Alexandria.
Neutral-atom scattering factors, no anomalous dispersion.

Cell lengths 10.272, 2.956, 5.391 Å; angles 90.00, 119.69, 90.00 degrees
Space group C2/m (No. 12)
Asymmetric unit:
Na: 0.162 0.000 0.170
H: 0.013 0.500 0.820
H: 0.118 0.000 0.601
Rh: 0.000 0.500 0.500

Principal peaks in the range 2θ from 10° to 90°, by intensity:
(hkl), 2theta, d [Å], Rel. int.
1 1 -1, 34.6, 2.592, 100
0 0 1, 19.0, 4.683, 71
2 0 0, 19.9, 4.462, 70
2 0 -1, 19.5, 4.544, 60
2 0 -2, 33.3, 2.694, 59
3 1 0, 43.1, 2.097, 59

Record 7
This entry pairs a crystal structure of Cs2LiOsBr6 with its theoretical X-ray diffraction stick pattern. Radiation: Cu Kα. Structure: the GGA-PBE geometry in Alexandria.
Neutral-atom scattering factors, no anomalous dispersion.

Cell lengths 7.621, 7.621, 10.794 Å; angles 90.00, 90.00, 90.00 degrees
Space group I4/mmm (No. 139)
Asymmetric unit:
Cs: 0.000 0.500 0.250
Li: 0.000 0.000 0.000
Os: 0.000 0.000 0.500
Br: 0.000 0.000 0.264
Br: 0.236 0.236 0.500

Principal peaks in the range 2θ from 10° to 90°, by intensity:
(hkl), 2theta, d [Å], Rel. int.
2 2 0, 33.2, 2.696, 100
2 0 2, 28.7, 3.113, 70
4 0 0, 47.7, 1.906, 70
1 0 1, 14.2, 6.226, 58
2 0 0, 23.3, 3.812, 47
4 2 2, 56.6, 1.626, 27

Record 8
This entry pairs a crystal structure of ErSc2Cd2In2 with its theoretical X-ray diffraction stick pattern. Radiation: Cu Kα. Structure: the GGA-PBE geometry in Alexandria.
Neutral-atom scattering factors, no anomalous dispersion.

Cell lengths 4.8556, 4.8556, 24.8804 Å; angles 90.00, 90.00, 120.00 degrees
Space group R-3m (No. 166, hexagonal axes)
Asymmetric unit:
Er: 0.0000 0.0000 0.0000
Sc: 0.0000 0.0000 0.1358
Cd: 0.0000 0.0000 0.4336
In: 0.0000 0.0000 0.2651

Principal peaks in the range 2θ from 10° to 90°, by intensity:
(hkl), 2theta, d [Å], Rel. int.
1 0 7, 33.0, 2.715, 100
1 1 0, 37.0, 2.428, 98
1 0 4, 25.6, 3.484, 37
0 2 7, 50.4, 1.810, 29
2 1 7, 64.2, 1.451, 28
0 1 11, 45.5, 1.992, 18

Record 9
This entry pairs a crystal structure of TeAs2Rh with its theoretical X-ray diffraction stick pattern. Radiation: Cu Kα. Structure: the GGA-PBE geometry in Alexandria.
Neutral-atom scattering factors, no anomalous dispersion.

Cell lengths 3.566, 4.070, 11.798 Å; angles 90.00, 90.00, 90.00 degrees
Space group Imm2 (No. 44)
Asymmetric unit:
Te: 0.000 0.000 0.000
As: 0.000 0.000 0.664
As: 0.000 0.500 0.809
Rh: 0.000 0.500 0.325

Principal peaks in the range 2θ from 10° to 90°, by intensity:
(hkl), 2theta, d [Å], Rel. int.
1 1 2, 36.8, 2.442, 100
1 1 4, 45.7, 1.984, 44
1 0 3, 33.9, 2.642, 41
0 1 1, 23.1, 3.847, 37
0 2 0, 44.5, 2.035, 25
0 1 3, 31.6, 2.828, 25

Record 10
This entry pairs a crystal structure of Ce5SmN4 with its theoretical X-ray diffraction stick pattern. Radiation: Cu Kα. Structure: the GGA-PBE geometry in Alexandria.
Neutral-atom scattering factors, no anomalous dispersion.

Cell lengths 3.397, 7.944, 16.234 Å; angles 90.00, 90.00, 90.00 degrees
Space group Immm (No. 71)
Asymmetric unit:
Ce: 0.000 0.000 0.000
Ce: 0.000 0.290 0.150
Sm: 0.000 0.000 0.500
N: 0.000 0.000 0.342
N: 0.000 0.299 0.500

Principal peaks in the range 2θ from 10° to 90°, by intensity:
(hkl), 2theta, d [Å], Rel. int.
0 2 4, 31.5, 2.839, 100
1 0 3, 31.1, 2.877, 73
0 2 2, 25.0, 3.568, 71
1 2 3, 38.6, 2.330, 70
0 0 6, 33.1, 2.706, 67
1 3 0, 43.3, 2.089, 51

Record 11
This entry pairs a crystal structure of Ti5Mn4Cr with its theoretical X-ray diffraction stick pattern. Radiation: Cu Kα. Structure: the GGA-PBE geometry in Alexandria.
Neutral-atom scattering factors, no anomalous dispersion.

Cell lengths 3.004, 3.004, 15.068 Å; angles 90.00, 90.00, 90.00 degrees
Space group P4/mmm (No. 123)
Asymmetric unit:
Ti: 0.000 0.000 0.000
Ti: 0.000 0.000 0.198
Ti: 0.000 0.000 0.395
Mn: 0.500 0.500 0.099
Mn: 0.500 0.500 0.298
Cr: 0.500 0.500 0.500

Principal peaks in the range 2θ from 10° to 90°, by intensity:
(hkl), 2theta, d [Å], Rel. int.
1 1 0, 42.5, 2.126, 100
2 1 5, 77.9, 1.227, 19
2 0 0, 61.8, 1.502, 10
1 1 10, 77.7, 1.229, 9
0 0 10, 61.5, 1.507, 5
0 0 5, 29.7, 3.007, 1